# 1
Simulated X-ray diffraction stick pattern of Ho4SiTe2S for Cu Ka, from a cell relaxed with PBE.

Structural model:
Cell: 7.108 4.132 7.426 Å, 90.00 108.91 90.00°
Element x y z (fractional)
Ho (0.236, 0.000, 0.214)
Ho (0.260, 0.500, 0.789)
Ho (0.740, 0.500, 0.211)
Ho (0.764, 0.000, 0.786)
Si (0.000, 0.500, 0.000)
Te (0.000, 0.000, 0.500)
Te (0.500, 0.500, 0.500)
S (0.500, 0.000, 0.000)

Most intense lines, 10° ≤ 2θ ≤ 90°, most intense first:
| 2θ/deg | I/Imax |
| --- | --- |
| 30.3 | 100 |
| 44.1 | 25 |
| 42.6 | 21 |
| 25.3 | 14 |
| 54.2 | 14 |
| 43.8 | 13 |
| 62.9 | 13 |
| 26.3 | 12 |
| 32.8 | 12 |
| 72.5 | 11 |

---

# 2
Simulated X-ray diffraction stick pattern of SmHo2S4 for Cu Ka, from a cell relaxed with PBE.

Structural model:
Cell: 6.730 6.730 13.146 Å, 90.00 90.00 146.90°
Element x y z (fractional)
Sm (0.125, 0.875, 0.750)
Sm (0.875, 0.125, 0.250)
Ho (0.370, 0.630, 0.569)
Ho (0.370, 0.630, 0.931)
Ho (0.630, 0.370, 0.069)
Ho (0.630, 0.370, 0.431)
S (0.000, 0.000, 0.000)
S (0.000, 0.000, 0.500)
S (0.274, 0.726, 0.120)
S (0.274, 0.726, 0.380)
S (0.466, 0.534, 0.750)
S (0.534, 0.466, 0.250)
S (0.726, 0.274, 0.620)
S (0.726, 0.274, 0.880)

Most intense lines, 10° ≤ 2θ ≤ 90°, most intense first:
| 2θ/deg | I/Imax |
| --- | --- |
| 24.6 | 100 |
| 34.2 | 50 |
| 32.0 | 35 |
| 42.3 | 31 |
| 25.2 | 28 |
| 27.8 | 26 |
| 47.1 | 26 |
| 27.7 | 26 |
| 54.1 | 24 |
| 44.5 | 17 |

---

# 3
Simulated X-ray diffraction stick pattern of Sm4HoS6 for Cu Ka, from a cell relaxed with PBE.

Structural model:
Cell: 6.877 6.877 20.189 Å, 90.00 90.00 147.21°
Element x y z (fractional)
Sm (0.090, 0.910, 0.629)
Sm (0.090, 0.910, 0.871)
Sm (0.360, 0.640, 0.541)
Sm (0.360, 0.640, 0.959)
Sm (0.640, 0.360, 0.041)
Sm (0.640, 0.360, 0.459)
Sm (0.910, 0.090, 0.129)
Sm (0.910, 0.090, 0.371)
Ho (0.153, 0.847, 0.250)
Ho (0.847, 0.153, 0.750)
S (0.000, 0.000, 0.000)
S (0.000, 0.000, 0.500)
S (0.200, 0.800, 0.750)
S (0.271, 0.729, 0.090)
S (0.271, 0.729, 0.410)
S (0.446, 0.554, 0.670)
S (0.446, 0.554, 0.830)
S (0.554, 0.446, 0.170)
S (0.554, 0.446, 0.330)
S (0.729, 0.271, 0.590)
S (0.729, 0.271, 0.910)
S (0.800, 0.200, 0.250)

Most intense lines, 10° ≤ 2θ ≤ 90°, most intense first:
| 2θ/deg | I/Imax |
| --- | --- |
| 25.9 | 100 |
| 32.0 | 76 |
| 27.4 | 52 |
| 33.5 | 50 |
| 43.3 | 38 |
| 44.9 | 30 |
| 27.0 | 29 |
| 54.2 | 29 |
| 25.5 | 29 |
| 31.0 | 27 |

---

# 4
Simulated X-ray diffraction stick pattern of SmHo4S5 for Cu Ka, from a cell relaxed with PBE.

Structural model:
Cell: 10.354 10.354 10.354 Å, 158.24 149.05 38.15°
Element x y z (fractional)
Sm (0.000, 0.000, 0.000)
Ho (0.202, 0.202, 0.000)
Ho (0.400, 0.400, 0.000)
Ho (0.600, 0.600, 0.000)
Ho (0.798, 0.798, 0.000)
S (0.104, 0.604, 0.500)
S (0.301, 0.801, 0.500)
S (0.500, 0.000, 0.500)
S (0.699, 0.199, 0.500)
S (0.896, 0.396, 0.500)

Most intense lines, 10° ≤ 2θ ≤ 90°, most intense first:
| 2θ/deg | I/Imax |
| --- | --- |
| 32.4 | 100 |
| 27.9 | 82 |
| 46.5 | 72 |
| 55.1 | 40 |
| 57.8 | 25 |
| 77.2 | 16 |
| 77.1 | 16 |
| 86.2 | 12 |
| 86.1 | 12 |
| 67.8 | 11 |

---

# 5
Simulated X-ray diffraction stick pattern of Sm3Ho4S8 for Cu Ka, from a cell relaxed with PBE.

Structural model:
Cell: 7.873 7.873 7.857 Å, 119.90 119.90 90.03°
Element x y z (fractional)
Sm (0.000, 0.000, 0.000)
Sm (0.000, 0.500, 0.000)
Sm (0.500, 0.000, 0.000)
Ho (0.000, 0.500, 0.500)
Ho (0.500, 0.000, 0.500)
Ho (0.500, 0.500, 0.000)
Ho (0.500, 0.500, 0.500)
S (0.252, 0.748, 0.500)
S (0.254, 0.746, 0.000)
S (0.255, 0.255, 0.507)
S (0.256, 0.256, 0.005)
S (0.744, 0.744, 0.995)
S (0.745, 0.745, 0.493)
S (0.746, 0.254, 0.000)
S (0.748, 0.252, 0.500)

Most intense lines, 10° ≤ 2θ ≤ 90°, most intense first:
| 2θ/deg | I/Imax |
| --- | --- |
| 32.1 | 100 |
| 27.7 | 71 |
| 46.1 | 36 |
| 46.1 | 24 |
| 76.5 | 21 |
| 54.6 | 18 |
| 54.7 | 18 |
| 13.8 | 15 |
| 57.2 | 12 |
| 57.4 | 12 |

---

# 6
Simulated X-ray diffraction stick pattern of Sm3Ho5S8 for Cu Ka, from a cell relaxed with PBE.

Structural model:
Cell: 7.883 7.883 7.883 Å, 59.70 59.70 59.70°
Element x y z (fractional)
Sm (0.000, 0.500, 0.500)
Sm (0.500, 0.000, 0.500)
Sm (0.500, 0.500, 0.000)
Ho (0.000, 0.000, 0.000)
Ho (0.000, 0.000, 0.500)
Ho (0.000, 0.500, 0.000)
Ho (0.500, 0.000, 0.000)
Ho (0.500, 0.500, 0.500)
S (0.242, 0.750, 0.750)
S (0.246, 0.246, 0.246)
S (0.250, 0.250, 0.758)
S (0.250, 0.758, 0.250)
S (0.750, 0.242, 0.750)
S (0.750, 0.750, 0.242)
S (0.754, 0.754, 0.754)
S (0.758, 0.250, 0.250)

Most intense lines, 10° ≤ 2θ ≤ 90°, most intense first:
| 2θ/deg | I/Imax |
| --- | --- |
| 32.2 | 100 |
| 27.8 | 61 |
| 46.1 | 36 |
| 46.3 | 36 |
| 54.8 | 30 |
| 27.7 | 21 |
| 57.5 | 19 |
| 76.5 | 16 |
| 76.8 | 16 |
| 85.6 | 12 |

---

# 7
Simulated X-ray diffraction stick pattern of Sm5HoS6 for Cu Ka, from a cell relaxed with PBE.

Structural model:
Cell: 6.919 6.919 6.900 Å, 99.67 99.67 120.12°
Element x y z (fractional)
Sm (0.000, 0.000, 0.000)
Sm (0.167, 0.833, 0.500)
Sm (0.330, 0.670, 0.000)
Sm (0.670, 0.330, 0.000)
Sm (0.833, 0.167, 0.500)
Ho (0.500, 0.500, 0.500)
S (0.092, 0.418, 0.255)
S (0.256, 0.256, 0.748)
S (0.418, 0.092, 0.255)
S (0.582, 0.908, 0.745)
S (0.744, 0.744, 0.252)
S (0.908, 0.582, 0.745)

Most intense lines, 10° ≤ 2θ ≤ 90°, most intense first:
| 2θ/deg | I/Imax |
| --- | --- |
| 31.7 | 100 |
| 27.3 | 39 |
| 27.4 | 39 |
| 45.4 | 36 |
| 45.5 | 24 |
| 53.9 | 23 |
| 54.0 | 16 |
| 75.3 | 16 |
| 56.4 | 13 |
| 56.6 | 12 |

---

# 8
Simulated X-ray diffraction stick pattern of Tb4SmHoS8 for Cu Ka, from a cell relaxed with PBE.

Structural model:
Cell: 8.092 8.092 8.092 Å, 60.10 60.10 60.10°
Element x y z (fractional)
Tb (0.000, 0.000, 0.000)
Tb (0.375, 0.375, 0.877)
Tb (0.375, 0.877, 0.375)
Tb (0.877, 0.375, 0.375)
Sm (0.751, 0.751, 0.751)
Ho (0.375, 0.375, 0.375)
S (0.132, 0.132, 0.132)
S (0.135, 0.135, 0.602)
S (0.135, 0.602, 0.135)
S (0.154, 0.614, 0.614)
S (0.602, 0.135, 0.135)
S (0.614, 0.154, 0.614)
S (0.614, 0.614, 0.154)
S (0.616, 0.616, 0.616)

Most intense lines, 10° ≤ 2θ ≤ 90°, most intense first:
| 2θ/deg | I/Imax |
| --- | --- |
| 25.8 | 100 |
| 44.8 | 58 |
| 40.9 | 44 |
| 22.0 | 26 |
| 31.2 | 19 |
| 62.2 | 18 |
| 27.0 | 14 |
| 82.5 | 14 |
| 38.5 | 12 |
| 52.4 | 11 |